Diffraction record for NaCaHgPb. The X-ray powder pattern is calculated, not measured: it uses DFT lattice parameters and positions (GGA-PBE) and a wavelength of 1.5418 Å.
Intensities are scaled so that the largest is 100.

Structural model:
Cell lengths 3.4844, 3.7354, 9.4088 Å; angles 90.00, 90.00, 90.00 degrees
Element x y z (fractional)
Na 0.0000 0.0000 0.0000
Ca 0.5000 0.0000 0.5216
Hg 0.0000 0.5000 0.7315
Pb 0.0000 0.5000 0.2788

Top 10 peaks for 2θ from 10° to 90°, sorted by position:
d 4.704, I = 77, (0 0 2)
d 3.735, I = 50, (0 1 0)
d 3.484, I = 58, (1 0 0)
d 2.925, I = 100, (0 1 2)
d 2.800, I = 71, (1 0 2)
d 2.548, I = 60, (1 1 0)
d 2.240, I = 65, (1 1 2)
d 1.728, I = 26, (1 1 4)
d 1.554, I = 25, (1 2 2)
d 1.497, I = 27, (2 1 2)